For LiNd2P2, a crystal structure in Alexandria, relaxed with PBE gives the theoretical powder XRD pattern in this record (Cu Kα X-rays).
Lines closer than 0.1° are merged.

Top 10 peaks for 10° ≤ 2θ ≤ 90°, sorted by position:
- 2θ = 22.4°, I 74, (1 1 0)
- 2θ = 25.5°, I 33, (1 1 1)
- 2θ = 26.2°, I 68, (0 4 1)
- 2θ = 27.1°, I 68, (0 2 2)
- 2θ = 30.5°, I 100, (1 3 1)
- 2θ = 33.4°, I 44, (1 1 2)
- 2θ = 36.5°, I 49, (1 5 0)
- 2θ = 37.4°, I 64, (1 3 2)
- 2θ = 43.6°, I 32, (1 1 3)
- 2θ = 44.1°, I 35, (2 0 0)

Structural model:
Cell: 4.1092 15.3602 7.2956 Å, 90.00 90.00 90.00°
Space group Cmc2_1 (No. 36)
Inequivalent atoms, fractional coordinates:
Li1 0.0000 0.0977 0.0000
Nd1 0.0000 0.2918 0.2040
Nd2 0.0000 0.4649 0.8487
P1 0.0000 0.0660 0.6443
P2 0.0000 0.3304 0.5854